# Li2MnVP2O8F2
Simulated powder XRD pattern, λ = 1.5418 Å (Cu Kα). Input: DFT lattice parameters and positions (GGA+U).
Intensities are scaled so that the largest is 100.

Atomic structure:
```
Li2MnVP2O8F2
1.0
5.312 0.000 0.000
-2.559 7.132 0.000
-1.336 -3.390 9.877
Li Mn V P O F
4 2 2 4 16 4
direct
0.034 0.117 0.307
0.463 0.379 0.190
0.537 0.621 0.810
0.966 0.883 0.693
0.000 0.000 0.000
0.500 0.000 0.500
0.000 0.500 0.000
0.500 0.500 0.500
0.003 0.559 0.322
0.498 0.947 0.179
0.502 0.053 0.821
0.997 0.441 0.678
0.125 0.487 0.834
0.142 0.782 0.393
0.203 0.450 0.332
0.249 0.967 0.875
0.255 0.535 0.628
0.299 0.056 0.169
0.343 0.719 0.103
0.368 0.013 0.671
0.632 0.987 0.329
0.657 0.281 0.897
0.701 0.944 0.831
0.745 0.465 0.372
0.751 0.033 0.125
0.797 0.550 0.668
0.858 0.218 0.607
0.875 0.513 0.166
0.167 0.322 0.037
0.332 0.212 0.462
0.668 0.788 0.538
0.833 0.678 0.963
```

Most intense lines, 2θ from 15° to 90°, low angle first:
- hkl 1 -1 0, 17.92°, intensity 61
- hkl 1 0 -1, 18.35°, intensity 52
- hkl 1 0 1, 22.22°, intensity 20
- hkl 1 -1 2, 25.49°, intensity 23
- hkl 1 -2 1, 25.76°, intensity 59
- hkl 0 2 0, 26.43°, intensity 100
- hkl 1 0 -3, 28.94°, intensity 76
- hkl 1 -2 3, 34.31°, intensity 18
- hkl 1 0 3, 36.40°, intensity 25
- hkl 2 0 -4, 45.79°, intensity 18